Calculated PXRD pattern
Compound: Ba6Mg11F34
Radiation: Cu Kα, 1.54184 Å
Structure: DFT lattice parameters and positions (GGA-PBE)

Cell and atoms:
```
Ba6Mg11F34
1.0
7.622 0.000 0.000
3.119 9.555 0.000
3.056 0.541 9.701
Ba Mg F
6 11 34
Direct
0.137 0.407 0.269
0.167 0.158 0.969
0.284 0.863 0.657
0.716 0.137 0.343
0.833 0.842 0.031
0.863 0.593 0.731
0.196 0.748 0.301
0.233 0.243 0.608
0.312 0.495 0.814
0.319 0.013 0.291
0.394 0.751 0.991
0.500 0.500 0.500
0.606 0.249 0.009
0.681 0.987 0.709
0.688 0.505 0.186
0.767 0.757 0.392
0.804 0.252 0.699
0.020 0.639 0.427
0.057 0.131 0.727
0.057 0.616 0.901
0.082 0.141 0.255
0.174 0.888 0.934
0.181 0.363 0.765
0.200 0.880 0.423
0.234 0.649 0.135
0.261 0.602 0.634
0.304 0.129 0.441
0.343 0.873 0.152
0.358 0.363 0.972
0.387 0.353 0.477
0.422 0.095 0.688
0.437 0.605 0.326
0.443 0.637 0.831
0.445 0.131 0.137
0.555 0.869 0.863
0.557 0.363 0.169
0.563 0.395 0.674
0.578 0.905 0.312
0.613 0.647 0.523
0.642 0.637 0.028
0.657 0.127 0.848
0.696 0.871 0.559
0.739 0.398 0.366
0.766 0.351 0.865
0.800 0.120 0.577
0.819 0.637 0.235
0.826 0.112 0.066
0.918 0.859 0.745
0.943 0.384 0.099
0.943 0.869 0.273
0.980 0.361 0.573
```

Most intense lines, 10° ≤ 2θ ≤ 90°, by angle:
- 2θ = 18.6°, rel. 62
- 2θ = 23.3°, rel. 57
- 2θ = 24.6°, rel. 71
- 2θ = 27.2°, rel. 73
- 2θ = 27.6°, rel. 73
- 2θ = 27.9°, rel. 77
- 2θ = 37.7°, rel. 68
- 2θ = 39.3°, rel. 60
- 2θ = 41.6°, rel. 54
- 2θ = 42.2°, rel. 100